The following is a simulated powder diffractogram of CuBPOsS. It was derived from DFT lattice parameters and positions (PBE), using a wavelength of 1.5418 Å.
Peak positions follow from Bragg's law for the DFT cell and can differ from measured ones.

Principal peaks in the range 10° ≤ 2θ ≤ 90°, in order of rising 2θ:
| two_theta | d/Å | intensity | index |
| --- | --- | --- | --- |
| 11.77 | 7.520 | 100 | 0 0 1 |
| 23.66 | 3.760 | 13 | 0 0 2 |
| 27.83 | 3.205 | 41 | 0 1 0 |
| 27.94 | 3.193 | 8 | 1 0 0 |
| 30.56 | 2.925 | 15 | 1 -1 1 |
| 32.51 | 2.755 | 16 | 1 0 -2 |
| 32.82 | 2.729 | 19 | 0 1 -2 |
| 45.51 | 1.993 | 9 | -1 1 3 |
| 47.74 | 1.905 | 8 | 1 1 -1 |
| 49.19 | 1.852 | 13 | -2 1 1 |

Atomic structure:
a b c (Å): 3.7266 3.7267 7.7524
angles (deg): 96.16 98.08 118.51
Space group P1 (No. 1)
Unique sites:
Cu  0.0000  0.0000  0.0000 [1 per cell]
B  0.3142  0.6408  0.9548 [1 per cell]
P  0.1923  0.1268  0.3235 [1 per cell]
Os  0.4788  0.7419  0.2237 [1 per cell]
S  0.0883  0.6664  0.7517 [1 per cell]